Starting from the GGA-PBE geometry in Alexandria, the XRD peak list of Mg2Cd2Sn3 was computed for a wavelength of 1.5418 Å.

Top 10 peaks for 2θ from 15° to 90°, in order of rising 2θ:
22.1 deg, intensity 25, (1 3 0)
27.2 deg, intensity 20, (0 0 1)
33.3 deg, intensity 94, (1 1 1)
34.3 deg, intensity 100, (1 7 0)
37.0 deg, intensity 43, (0 6 1)
37.2 deg, intensity 42, (2 0 0)
44.3 deg, intensity 21, (1 7 1)
53.5 deg, intensity 30, (2 6 1)
65.5 deg, intensity 18, (1 13 1)
67.5 deg, intensity 28, (1 7 2)

Structure:
Cell: 4.833 21.765 3.276 Å, 90.00 90.00 90.00°
Space group Cmmm (No. 65)
Inequivalent atoms, fractional coordinates:
Mg1 0.000 0.153 0.000
Cd1 0.000 0.285 0.500
Sn1 0.000 0.000 0.000
Sn2 0.000 0.423 0.500